1.
Structure and computed XRD peak list of TlCr3Se5 (a crystal structure in the Materials Project, relaxed with PBE; Cu Ka).
No peak broadening, texture or thermal motion is included.

Cell and atoms:
Cell: 20.372 3.709 12.734 Å, 90.00 122.40 90.00°
Space group C2/m (No. 12)
Inequivalent atoms, fractional coordinates:
Tl  0.239  0.000  0.328 (multiplicity 4)
Cr  0.000  0.000  0.000 (multiplicity 2)
Cr  0.000  0.000  0.500 (multiplicity 2)
Cr  0.015  0.500  0.272 (multiplicity 4)
Cr  0.164  0.500  0.888 (multiplicity 4)
Se  0.077  0.000  0.894 (multiplicity 4)
Se  0.079  0.500  0.651 (multiplicity 4)
Se  0.081  0.500  0.154 (multiplicity 4)
Se  0.091  0.000  0.419 (multiplicity 4)
Se  0.246  0.000  0.880 (multiplicity 4)

Principal peaks in the range 10 to 90 degrees two-theta, by angle:
(hkl)	d_spacing	Position (°2θ)	I (rel.)
4 0 0	4.300	20.65	19
6 0 -4	2.871	31.15	76
1 1 2	2.860	31.28	100
5 1 -2	2.733	32.76	68
7 1 -2	2.284	39.45	46
5 1 2	2.001	45.32	22
0 2 0	1.855	49.13	28
5 1 -6	1.842	49.49	31
11 1 -2	1.604	57.46	20
6 2 -4	1.559	59.27	22

---

2.
Structure and computed XRD peak list of RuO4 (a crystal structure in the Materials Project, relaxed with PBE; Cu Ka).
No peak broadening, texture or thermal motion is included.

Cell and atoms:
Cell: 9.089 9.089 9.089 Å, 90.00 90.00 90.00°
Space group P-43n (No. 218)
Inequivalent atoms, fractional coordinates:
Ru  0.000  0.000  0.000 (multiplicity 2)
Ru  0.000  0.250  0.500 (multiplicity 6)
O  0.107  0.359  0.611 (multiplicity 24)
O  0.109  0.109  0.891 (multiplicity 8)

Principal peaks in the range 10 to 90 degrees two-theta, by angle:
(hkl)	d_spacing	Position (°2θ)	I (rel.)
2 0 0	4.544	19.53	35
2 1 0	4.065	21.87	100
2 1 1	3.710	23.98	77
2 2 2	2.624	34.18	22
3 2 0	2.521	35.62	20
3 2 1	2.429	37.01	37
4 2 1	1.983	45.75	19
4 3 2	1.688	54.36	20
4 4 0	1.607	57.35	24
5 3 2	1.474	63.05	12

---

3.
Structure and computed XRD peak list of VPd2 (a crystal structure in the Materials Project, relaxed with PBE; Cu Ka).
No peak broadening, texture or thermal motion is included.

Cell and atoms:
Cell: 2.746 3.812 8.337 Å, 90.00 90.00 90.00°
Space group Immm (No. 71)
Inequivalent atoms, fractional coordinates:
V  0.000  0.000  0.000 (multiplicity 2)
Pd  0.000  0.000  0.338 (multiplicity 4)

Principal peaks in the range 10 to 90 degrees two-theta, by angle:
(hkl)	d_spacing	Position (°2θ)	I (rel.)
0 1 1	3.467	25.70	19
0 1 3	2.246	40.15	100
1 1 0	2.228	40.48	98
1 0 3	1.953	46.49	65
0 2 0	1.906	47.71	30
1 2 3	1.364	68.82	38
1 1 6	1.179	81.66	23
2 1 3	1.171	82.31	23
0 3 3	1.156	83.69	11
1 3 0	1.153	83.90	11